Theoretical powder X-ray diffraction pattern
Compound: CsCu2Hg2Br7
Radiation: a wavelength of 1.5418 Å
Structure: a cell relaxed with GGA-PBE
Kinematic intensities with the Lorentz-polarization factor, no thermal factor.

Structure:
Cell: 7.4020 7.4020 37.3987 Å, 90.00 90.00 120.00°
Space group R32 (No. 155, hexagonal axes)
Symmetry-distinct sites (fractional):
Cs: 0.0000 0.0000 0.0000 x3
Cu: 0.0000 0.0000 0.2608 x6
Hg: 0.0000 0.0000 0.4278 x6
Br: 0.0000 0.0000 0.5000 x3
Br: 0.0110 0.3228 0.7390 x18

Top 12 peaks for 2θ = 10–90°, by angle:
(hkl)  Position (°2θ)  I (rel.)
1 0 1  14.02  52
0 0 6  14.21  100
0 1 2  14.61  44
1 0 4  16.77  32
1 0 7  21.65  55
1 1 0  24.05  72
1 1 6  28.01  49
0 0 12  28.64  29
1 1 9  32.39  28
3 0 0  42.29  62
3 0 6  44.84  32
3 0 12  51.88  32